1.
Na2Mg2Fe2Se3S3O24: theoretical powder diffractogram (Cu Kα (weighted mean of Kα1 and Kα2)), based on a crystal structure in the Materials Project, relaxed with GGA+U.
Peak positions follow from Bragg's law for the DFT cell and can differ from measured ones.

Structural model:
```
data_Na2Mg2Fe2Se3S3O24
_chemical_formula_sum 'Na6 Mg6 Fe6 Se9 S9 O72'
_cell_length_a 8.7553
_cell_length_b 8.7553
_cell_length_c 22.7715
_cell_angle_alpha 90.00
_cell_angle_beta 90.00
_cell_angle_gamma 120.00
_symmetry_space_group_name_H-M 'R 3'
_symmetry_Int_Tables_number 146
_symmetry_space_group_name_Hall 'R 3'
loop_
_atom_site_label
_atom_site_type_symbol
_atom_site_fract_x
_atom_site_fract_y
_atom_site_fract_z
Na1 Na 0.0000 0.0000 0.0000
Na2 Na 0.0000 0.0000 0.4985
Mg1 Mg 0.0000 0.0000 0.3485
Mg2 Mg 0.0000 0.0000 0.6420
Fe1 Fe 0.0000 0.0000 0.1503
Fe2 Fe 0.0000 0.0000 0.8565
Se1 Se 0.0007 0.7097 0.7501
S1 S 0.0431 0.3721 0.9156
O1 O 0.0013 0.1832 0.9134
O2 O 0.0210 0.8396 0.0889
O3 O 0.0614 0.8419 0.6927
O4 O 0.0640 0.8645 0.4116
O5 O 0.1380 0.4647 0.8606
O6 O 0.1407 0.6723 0.4805
O7 O 0.1538 0.4522 0.9675
O8 O 0.1665 0.4577 0.2508
```

Main lines, by angle (2θ = 15–90°):
index  2θ/deg  d_spacing  I_rel
1 1 0  20.3  4.378  5
2 -1 3  23.5  3.792  100
0 2 4  28.3  3.155  10
2 -1 6  31.2  2.868  31
3 -1 1  31.5  2.843  12
3 0 0  35.5  2.528  15
1 1 9  41.2  2.190  10
0 0 12  48.0  1.896  14
4 1 0  55.5  1.655  6
0 3 12  61.1  1.517  9

=====

2.
NdV2O2: theoretical powder diffractogram (Cu Kα (weighted mean of Kα1 and Kα2)), based on a crystal structure in the Materials Project, relaxed with GGA+U.
Peak positions follow from Bragg's law for the DFT cell and can differ from measured ones.

Structural model:
```
data_NdV2O2
_chemical_formula_sum 'Nd8 V16 O16'
_cell_length_a 8.844
_cell_length_b 8.844
_cell_length_c 9.651
_cell_angle_alpha 90.00
_cell_angle_beta 90.00
_cell_angle_gamma 90.00
_symmetry_space_group_name_H-M 'I 41/a m d'
_symmetry_Int_Tables_number 141
loop_
_symmetry_equiv_pos_as_xyz
'x,y,z'
'-x,-y,-z'
'-y+1/4,x+3/4,z+1/4'
'y+1/4,-x+3/4,-z+1/4'
'-x+1/2,-y,z+1/2'
'x+1/2,y,-z+1/2'
'y+1/4,-x+1/4,z+3/4'
'-y+1/4,x+1/4,-z+3/4'
'x,-y,-z'
'-x,y,z'
'-y+1/4,-x+1/4,-z+3/4'
'y+1/4,x+1/4,z+3/4'
'-x+1/2,y,-z+1/2'
'x+1/2,-y,z+1/2'
'y+1/4,x+3/4,-z+1/4'
'-y+1/4,-x+3/4,z+1/4'
'x+1/2,y+1/2,z+1/2'
'-x+1/2,-y+1/2,-z+1/2'
'-y+3/4,x+1/4,z+3/4'
'y+3/4,-x+1/4,-z+3/4'
'-x,-y+1/2,z'
'x,y+1/2,-z'
'y+3/4,-x+3/4,z+1/4'
'-y+3/4,x+3/4,-z+1/4'
'x+1/2,-y+1/2,-z+1/2'
'-x+1/2,y+1/2,z+1/2'
'-y+3/4,-x+3/4,-z+1/4'
'y+3/4,x+3/4,z+1/4'
'-x,y+1/2,-z'
'x,-y+1/2,z'
'y+3/4,x+1/4,-z+3/4'
'-y+3/4,-x+1/4,z+3/4'
loop_
_atom_site_label
_atom_site_type_symbol
_atom_site_fract_x
_atom_site_fract_y
_atom_site_fract_z
Nd1 Nd 0.000 0.000 0.000
V1 V 0.000 0.063 0.629
O1 O 0.000 0.096 0.220
```

Main lines, by angle (2θ = 15–90°):
index  2θ/deg  d_spacing  I_rel
2 1 1  24.3  3.660  22
2 0 2  27.4  3.260  59
2 2 0  28.5  3.127  100
1 0 3  29.5  3.023  22
2 1 3  36.0  2.496  56
4 0 0  40.8  2.211  28
3 0 3  41.5  2.174  29
3 3 2  47.5  1.912  16
4 2 2  49.8  1.830  37
2 1 5  52.8  1.735  19

=====

3.
CdFe2O4: theoretical powder diffractogram (Cu Kα (weighted mean of Kα1 and Kα2)), based on a crystal structure in the Materials Project, relaxed with GGA+U.
Peak positions follow from Bragg's law for the DFT cell and can differ from measured ones.

Structural model:
a = 8.829 Å, b = 8.829 Å, c = 8.829 Å
α = 90.00°, β = 90.00°, γ = 90.00°
Space group Fd-3m (No. 227, origin choice 2)
One atom of each set of equivalent atoms:
Cd1 0.125 0.125 0.125 [8 per cell]
Fe1 0.000 0.000 0.500 [16 per cell]
O1 0.018 0.018 0.732 [32 per cell]

Main lines, by angle (2θ = 15–90°):
index  2θ/deg  d_spacing  I_rel
2 2 0  28.6  3.121  58
3 1 1  33.7  2.662  100
4 2 2  50.7  1.802  20
5 1 1  54.0  1.699  39
4 4 0  59.2  1.561  37
6 2 0  67.0  1.396  8
5 3 3  69.9  1.346  11
6 4 2  81.6  1.180  11
5 5 3  84.2  1.149  18
8 0 0  88.6  1.104  5

=====

4.
K4MgMo2O8: theoretical powder diffractogram (Cu Kα (weighted mean of Kα1 and Kα2)), based on a crystal structure in the Materials Project, relaxed with GGA+U.
Peak positions follow from Bragg's law for the DFT cell and can differ from measured ones.

Structural model:
```
data_K4MgMo2O8
_chemical_formula_sum 'K4 Mg1 Mo2 O8'
_cell_length_a 6.039
_cell_length_b 6.909
_cell_length_c 8.260
_cell_angle_alpha 78.72
_cell_angle_beta 88.75
_cell_angle_gamma 65.66
_symmetry_space_group_name_H-M 'P 1'
_symmetry_Int_Tables_number 1
loop_
_symmetry_equiv_pos_as_xyz
'x,y,z'
loop_
_atom_site_label
_atom_site_type_symbol
_atom_site_fract_x
_atom_site_fract_y
_atom_site_fract_z
K1 K 0.000 0.000 0.000
K2 K 0.027 0.943 0.499
K3 K 0.348 0.331 0.860
K4 K 0.615 0.790 0.248
Mg1 Mg 0.863 0.436 0.578
Mo1 Mo 0.368 0.394 0.351
Mo2 Mo 0.594 0.722 0.790
O1 O 0.197 0.691 0.276
O2 O 0.205 0.314 0.536
O3 O 0.280 0.755 0.790
O4 O 0.414 0.214 0.206
O5 O 0.670 0.875 0.919
O6 O 0.683 0.362 0.424
O7 O 0.705 0.755 0.571
O8 O 0.795 0.412 0.819
```

Main lines, by angle (2θ = 15–90°):
index  2θ/deg  d_spacing  I_rel
1 0 0  16.2  5.487  58
1 1 1  18.8  4.716  58
0 1 -1  19.8  4.478  57
0 0 2  22.0  4.041  59
0 1 2  23.7  3.750  69
1 -1 0  25.8  3.448  73
1 2 0  26.6  3.346  59
1 0 2  28.3  3.157  78
2 1 0  29.6  3.017  100
-1 1 2  31.4  2.850  56

=====

5.
Ca3MgFe2C6O18: theoretical powder diffractogram (Cu Kα (weighted mean of Kα1 and Kα2)), based on a crystal structure in the Materials Project, relaxed with GGA+U.
Peak positions follow from Bragg's law for the DFT cell and can differ from measured ones.

Structural model:
```
data_Ca3MgFe2C6O18
_chemical_formula_sum 'Ca3 Mg1 Fe2 C6 O18'
_cell_length_a 4.8948
_cell_length_b 4.8948
_cell_length_c 16.2063
_cell_angle_alpha 90.00
_cell_angle_beta 90.00
_cell_angle_gamma 120.00
_symmetry_space_group_name_H-M 'P -3'
_symmetry_Int_Tables_number 147
loop_
_symmetry_equiv_pos_as_xyz
'x,y,z'
'-x,-y,-z'
'-y,x-y,z'
'y,-x+y,-z'
'-x+y,-x,z'
'x-y,x,-z'
loop_
_atom_site_label
_atom_site_type_symbol
_atom_site_fract_x
_atom_site_fract_y
_atom_site_fract_z
Ca1 Ca 0.0000 0.0000 0.0000
Ca2 Ca 0.3333 0.6667 0.6665
Mg1 Mg 0.0000 0.0000 0.5000
Fe1 Fe 0.3333 0.6667 0.1667
C1 C 0.0000 0.0000 0.2437
C2 C 0.3333 0.6667 0.4233
C3 C 0.3333 0.6667 0.9104
O1 O 0.0262 0.2776 0.2449
O2 O 0.0557 0.4154 0.9116
O3 O 0.0849 0.6982 0.4224
```

Main lines, by angle (2θ = 15–90°):
index  2θ/deg  d_spacing  I_rel
0 1 2  23.7  3.756  16
1 0 4  30.5  2.929  100
1 1 0  36.7  2.447  16
2 -1 3  40.5  2.229  20
2 0 2  44.2  2.051  18
0 1 8  49.9  1.828  20
2 -1 6  50.3  1.814  26
3 -2 2  58.7  1.572  12
3 -1 4  62.3  1.490  9
3 0 0  66.1  1.413  10

=====

6.
VHO2: theoretical powder diffractogram (Cu Kα (weighted mean of Kα1 and Kα2)), based on a crystal structure in the Materials Project, relaxed with GGA+U.
Peak positions follow from Bragg's law for the DFT cell and can differ from measured ones.

Structural model:
```
data_VHO2
_chemical_formula_sum 'V4 H4 O8'
_cell_length_a 3.153
_cell_length_b 4.649
_cell_length_c 10.075
_cell_angle_alpha 90.00
_cell_angle_beta 90.00
_cell_angle_gamma 90.00
_symmetry_space_group_name_H-M 'P m c 21'
_symmetry_Int_Tables_number 26
loop_
_symmetry_equiv_pos_as_xyz
'x,y,z'
'-x,-y,z+1/2'
'-x,y,z'
'x,-y,z+1/2'
loop_
_atom_site_label
_atom_site_type_symbol
_atom_site_fract_x
_atom_site_fract_y
_atom_site_fract_z
V1 V 0.000 0.207 0.000
V2 V 0.500 0.293 0.291
H1 H 0.000 0.150 0.732
H2 H 0.500 0.348 0.570
O1 O 0.000 0.051 0.200
O2 O 0.000 0.460 0.845
O3 O 0.500 0.034 0.443
O4 O 0.500 0.445 0.093
```

Main lines, by angle (2θ = 15–90°):
index  2θ/deg  d_spacing  I_rel
0 1 1  21.0  4.221  100
0 1 3  32.9  2.722  44
1 0 2  33.5  2.673  20
1 1 1  35.5  2.526  78
1 1 2  38.9  2.317  17
0 1 4  40.7  2.215  21
1 2 2  52.2  1.754  45
1 1 5  57.8  1.595  27
2 0 0  58.6  1.576  15
1 0 6  62.7  1.482  19

=====

Copy entry 6 word for word.
VHO2: theoretical powder diffractogram (Cu Kα (weighted mean of Kα1 and Kα2)), based on a crystal structure in the Materials Project, relaxed with GGA+U.
Peak positions follow from Bragg's law for the DFT cell and can differ from measured ones.

Structural model:
```
data_VHO2
_chemical_formula_sum 'V4 H4 O8'
_cell_length_a 3.153
_cell_length_b 4.649
_cell_length_c 10.075
_cell_angle_alpha 90.00
_cell_angle_beta 90.00
_cell_angle_gamma 90.00
_symmetry_space_group_name_H-M 'P m c 21'
_symmetry_Int_Tables_number 26
loop_
_symmetry_equiv_pos_as_xyz
'x,y,z'
'-x,-y,z+1/2'
'-x,y,z'
'x,-y,z+1/2'
loop_
_atom_site_label
_atom_site_type_symbol
_atom_site_fract_x
_atom_site_fract_y
_atom_site_fract_z
V1 V 0.000 0.207 0.000
V2 V 0.500 0.293 0.291
H1 H 0.000 0.150 0.732
H2 H 0.500 0.348 0.570
O1 O 0.000 0.051 0.200
O2 O 0.000 0.460 0.845
O3 O 0.500 0.034 0.443
O4 O 0.500 0.445 0.093
```

Main lines, by angle (2θ = 15–90°):
index  2θ/deg  d_spacing  I_rel
0 1 1  21.0  4.221  100
0 1 3  32.9  2.722  44
1 0 2  33.5  2.673  20
1 1 1  35.5  2.526  78
1 1 2  38.9  2.317  17
0 1 4  40.7  2.215  21
1 2 2  52.2  1.754  45
1 1 5  57.8  1.595  27
2 0 0  58.6  1.576  15
1 0 6  62.7  1.482  19